Record 1
The following is a simulated powder diffraction line list of UTl2I4F2. It was derived from a crystal structure in Alexandria, relaxed with GGA-PBE, using Cu Kα X-rays.
No peak broadening, texture or thermal motion is included.

Top 10 peaks for 10° ≤ 2θ ≤ 80°, most intense first:
2θ 29.01, rel. 100.0; 2θ 23.12, rel. 53.4; 2θ 18.83, rel. 51.7; 2θ 28.65, rel. 41.6; 2θ 42.04, rel. 25.4; 2θ 27.63, rel. 23.1; 2θ 14.32, rel. 22.9; 2θ 50.80, rel. 22.8; 2θ 39.86, rel. 21.8; 2θ 28.87, rel. 19.7

Cell and atoms:
Lattice parameters (Å, degrees): 7.7545 7.7545 6.1874 91.23 91.23 67.32
Fractional positions:
U (0.0000, 0.0000, 0.0000)
Tl (0.3439, 0.3439, 0.2233)
Tl (0.6561, 0.6561, 0.7767)
I (0.1320, 0.6170, 0.7594)
I (0.3830, 0.8680, 0.2406)
I (0.6170, 0.1320, 0.7594)
I (0.8680, 0.3830, 0.2406)
F (0.1113, 0.1113, 0.7717)
F (0.8887, 0.8887, 0.2283)

Record 2
The following is a simulated powder diffraction line list of TmIF. It was derived from a crystal structure in Alexandria, relaxed with GGA-PBE, using Cu Kα X-rays.
No peak broadening, texture or thermal motion is included.

Top 10 peaks for 10° ≤ 2θ ≤ 80°, most intense first:
2θ 19.37, rel. 100.0; 2θ 31.20, rel. 74.3; 2θ 39.33, rel. 51.1; 2θ 13.91, rel. 44.8; 2θ 37.37, rel. 40.6; 2θ 30.51, rel. 36.6; 2θ 27.78, rel. 34.0; 2θ 56.70, rel. 28.5; 2θ 44.87, rel. 22.1; 2θ 24.21, rel. 19.1

Cell and atoms:
Lattice parameters (Å, degrees): 7.3512 7.3512 6.5994 90.00 90.00 120.00
Fractional positions:
Tm (0.1302, 0.4621, 0.0000)
Tm (0.3319, 0.8698, 0.3333)
Tm (0.5379, 0.6681, 0.6667)
I (0.3326, 0.2932, 0.3339)
I (0.7068, 0.0395, 0.0006)
I (0.9605, 0.6674, 0.6673)
F (0.0556, 0.6641, 0.1673)
F (0.3359, 0.3915, 0.8339)
F (0.6085, 0.9444, 0.5006)

Record 3
The following is a simulated powder diffraction line list of UI3F. It was derived from a crystal structure in Alexandria, relaxed with GGA-PBE, using Cu Kα X-rays.
No peak broadening, texture or thermal motion is included.

Top 10 peaks for 10° ≤ 2θ ≤ 80°, most intense first:
2θ 12.56, rel. 100.0; 2θ 20.07, rel. 84.1; 2θ 29.51, rel. 61.1; 2θ 29.34, rel. 53.7; 2θ 34.98, rel. 50.4; 2θ 26.26, rel. 49.8; 2θ 30.33, rel. 31.7; 2θ 14.63, rel. 28.5; 2θ 47.88, rel. 26.1; 2θ 35.99, rel. 23.2

Cell and atoms:
Lattice parameters (Å, degrees): 7.7518 7.7518 8.9507 118.88 118.88 76.83
Fractional positions:
U (0.1697, 0.1697, 0.4369)
U (0.8303, 0.8303, 0.5631)
I (0.1660, 0.1660, 0.7770)
I (0.2448, 0.6285, 0.6865)
I (0.3715, 0.7552, 0.3135)
I (0.6285, 0.2448, 0.6865)
I (0.7552, 0.3715, 0.3135)
I (0.8340, 0.8340, 0.2230)
F (0.1725, 0.1725, 0.2141)
F (0.8275, 0.8275, 0.7859)

Record 4
The following is a simulated powder diffraction line list of XeIF7. It was derived from a crystal structure in Alexandria, relaxed with GGA-PBE, using Cu Kα X-rays.
No peak broadening, texture or thermal motion is included.

Top 10 peaks for 10° ≤ 2θ ≤ 80°, most intense first:
2θ 22.51, rel. 100.0; 2θ 22.72, rel. 51.4; 2θ 39.77, rel. 43.6; 2θ 52.27, rel. 16.0; 2θ 31.74, rel. 15.2; 2θ 32.35, rel. 12.9; 2θ 62.73, rel. 11.9; 2θ 46.40, rel. 11.7; 2θ 39.39, rel. 9.6; 2θ 72.38, rel. 9.4

Cell and atoms:
Lattice parameters (Å, degrees): 7.9008 7.9008 7.9008 120.62 120.62 88.94
Fractional positions:
Xe (0.0000, 0.5000, 0.5000)
Xe (0.5000, 0.0000, 0.5000)
I (0.2117, 0.2117, 0.0000)
I (0.7883, 0.7883, 0.0000)
F (0.0030, 0.2984, 0.8245)
F (0.0907, 0.7512, 0.8419)
F (0.1785, 0.0030, 0.7046)
F (0.2488, 0.0907, 0.3395)
F (0.2984, 0.4739, 0.2954)
F (0.3778, 0.3778, 0.0000)
F (0.4739, 0.1785, 0.1755)
F (0.5261, 0.8215, 0.8245)
F (0.6222, 0.6222, 0.0000)
F (0.7016, 0.5261, 0.7046)
F (0.7512, 0.9093, 0.6605)
F (0.8215, 0.9970, 0.2954)
F (0.9093, 0.2488, 0.1581)
F (0.9970, 0.7016, 0.1755)

Record 5
The following is a simulated powder diffraction line list of Y2IF2. It was derived from a crystal structure in Alexandria, relaxed with GGA-PBE, using Cu Kα X-rays.
No peak broadening, texture or thermal motion is included.

Top 10 peaks for 10° ≤ 2θ ≤ 80°, most intense first:
2θ 30.70, rel. 100.0; 2θ 33.44, rel. 37.9; 2θ 58.07, rel. 31.4; 2θ 40.71, rel. 28.2; 2θ 64.73, rel. 23.9; 2θ 48.02, rel. 22.2; 2θ 36.00, rel. 18.3; 2θ 52.76, rel. 14.0; 2θ 12.96, rel. 10.4; 2θ 74.86, rel. 10.0

Cell and atoms:
Lattice parameters (Å, degrees): 7.3366 7.3366 7.3366 150.07 150.07 42.84
Fractional positions:
Y (0.1336, 0.1336, 0.0000)
Y (0.8664, 0.8664, 0.0000)
I (0.5000, 0.5000, 0.0000)
F (0.2500, 0.7500, 0.5000)
F (0.7500, 0.2500, 0.5000)

Record 6
The following is a simulated powder diffraction line list of ZrIF2. It was derived from a crystal structure in Alexandria, relaxed with GGA-PBE, using Cu Kα X-rays.
No peak broadening, texture or thermal motion is included.

Top 10 peaks for 10° ≤ 2θ ≤ 80°, most intense first:
2θ 30.14, rel. 100.0; 2θ 46.97, rel. 28.6; 2θ 47.50, rel. 27.6; 2θ 25.13, rel. 26.3; 2θ 39.01, rel. 24.6; 2θ 65.24, rel. 21.0; 2θ 62.65, rel. 15.7; 2θ 76.73, rel. 13.3; 2θ 66.52, rel. 9.9; 2θ 72.73, rel. 7.6

Cell and atoms:
Lattice parameters (Å, degrees): 7.8033 7.8033 7.8033 145.58 145.58 49.47
Fractional positions:
Zr (0.3750, 0.6250, 0.7500)
Zr (0.6250, 0.3750, 0.2500)
I (0.1250, 0.8750, 0.2500)
I (0.8750, 0.1250, 0.7500)
F (0.0000, 0.5000, 0.5000)
F (0.5000, 0.0000, 0.0000)
F (0.5000, 0.5000, 0.0000)
F (0.5000, 0.5000, 0.5000)